# Pr2Nd6Pu
Theoretical PXRD pattern, copper Kα. Input: the PBE geometry in Alexandria.
Neutral-atom scattering factors, no anomalous dispersion.

Largest 10 diffraction maxima, by angle, 10° ≤ 2θ ≤ 90°:
2θ/deg	d/Å	I (rel.)
26.72	3.336	21.6
28.07	3.179	33.0
31.17	2.869	87.6
31.50	2.840	81.2
32.48	2.756	100.0
43.44	2.083	26.6
48.85	1.864	15.5
50.73	1.800	13.2
56.90	1.618	21.9
64.22	1.450	22.7

Cell and atoms:
```
data_Pr2Nd6Pu
_chemical_formula_sum 'Pr4 Nd12 Pu2'
_cell_length_a 11.202
_cell_length_b 11.202
_cell_length_c 6.724
_cell_angle_alpha 107.41
_cell_angle_beta 107.41
_cell_angle_gamma 51.01
_symmetry_space_group_name_H-M 'P 1'
_symmetry_Int_Tables_number 1
loop_
_symmetry_equiv_pos_as_xyz
'x,y,z'
loop_
_atom_site_label
_atom_site_type_symbol
_atom_site_fract_x
_atom_site_fract_y
_atom_site_fract_z
Pr1 Pr 0.019 0.374 0.196
Pr2 Pr 0.374 0.019 0.696
Pr3 Pr 0.626 0.981 0.304
Pr4 Pr 0.981 0.626 0.804
Nd1 Nd 0.026 0.700 0.363
Nd2 Nd 0.289 0.658 0.974
Nd3 Nd 0.300 0.974 0.137
Nd4 Nd 0.337 0.337 0.087
Nd5 Nd 0.337 0.337 0.587
Nd6 Nd 0.342 0.711 0.526
Nd7 Nd 0.658 0.289 0.474
Nd8 Nd 0.663 0.663 0.413
Nd9 Nd 0.663 0.663 0.913
Nd10 Nd 0.700 0.026 0.863
Nd11 Nd 0.711 0.342 0.026
Nd12 Nd 0.974 0.300 0.637
Pu1 Pu 0.000 0.000 0.250
Pu2 Pu 0.000 0.000 0.750
```